# Lu2Te3
Calculated XRD peak list, Cu Ka. Input: a DFT-relaxed cell (GGA-PBE, the Materials Project).
Intensities are scaled so that the largest is 100.

The 12 most intense peaks (10 to 90 degrees two-theta), most intense first:
index  2theta  d (Å)  I_rel
2 0 6  29.41  3.037  100.0
2 4 6  42.16  2.144  75.3
0 4 0  29.52  3.026  49.5
4 4 0  52.23  1.751  40.3
4 0 0  42.07  2.148  37.8
1 1 1  13.10  6.756  27.8
6 0 6  69.22  1.357  25.8
6 4 6  77.03  1.238  19.1
2 8 6  69.41  1.354  17.1
2 4 18  76.88  1.240  12.8
4 0 12  61.01  1.519  12.6
1 1 5  21.39  4.153  9.5

Structural model:
```
data_Lu2Te3
_chemical_formula_sum 'Lu32 Te48'
_cell_length_a 8.5823
_cell_length_b 12.1022
_cell_length_c 25.7974
_cell_angle_alpha 90.00
_cell_angle_beta 90.00
_cell_angle_gamma 90.00
_space_group_name_H-M_alt 'F d d d'
_space_group_IT_number 70
loop_
_space_group_symop_operation_xyz
'x,y,z'
'-x,-y,-z'
'-x+1/4,-y+1/4,z'
'x+1/4,y+1/4,-z'
'x,-y+1/4,-z+1/4'
'-x,y+1/4,z+1/4'
'-x+1/4,y,-z+1/4'
'x+1/4,-y,z+1/4'
'x,y+1/2,z+1/2'
'-x,-y+1/2,-z+1/2'
'-x+1/4,-y+3/4,z+1/2'
'x+1/4,y+3/4,-z+1/2'
'x,-y+3/4,-z+3/4'
'-x,y+3/4,z+3/4'
'-x+1/4,y+1/2,-z+3/4'
'x+1/4,-y+1/2,z+3/4'
'x+1/2,y,z+1/2'
'-x+1/2,-y,-z+1/2'
'-x+3/4,-y+1/4,z+1/2'
'x+3/4,y+1/4,-z+1/2'
'x+1/2,-y+1/4,-z+3/4'
'-x+1/2,y+1/4,z+3/4'
'-x+3/4,y,-z+3/4'
'x+3/4,-y,z+3/4'
'x+1/2,y+1/2,z'
'-x+1/2,-y+1/2,-z'
'-x+3/4,-y+3/4,z'
'x+3/4,y+3/4,-z'
'x+1/2,-y+3/4,-z+1/4'
'-x+1/2,y+3/4,z+1/4'
'-x+3/4,y+1/2,-z+1/4'
'x+3/4,-y+1/2,z+1/4'
loop_
_atom_site_label
_atom_site_fract_x
_atom_site_fract_y
_atom_site_fract_z
_atom_site_occupancy
Lu1 0.1250 0.1250 0.0422 1
Lu2 0.1250 0.1250 0.3750 1
Te1 0.1219 0.3750 0.8750 1
Te2 0.1246 0.3745 0.5421 1
```